No. 1
# Cr2SeS
Theoretical powder X-ray diffraction pattern, Cu Kα X-rays. Input: a PBE-relaxed structure.

The 12 most intense peaks (10° ≤ 2θ ≤ 80°), low angle first:
- 14.6°, I = 11
- 28.2°, I = 22
- 31.9°, I = 77
- 41.3°, I = 100
- 49.8°, I = 47
- 52.2°, I = 3
- 53.9°, I = 15
- 60.4°, I = 12
- 61.3°, I = 8
- 66.6°, I = 22
- 69.3°, I = 3
- 76.4°, I = 5

Crystal structure
Cell: 3.6586 3.6586 6.0521 Å, 90.00 90.00 120.00°
Element x y z (fractional)
Cr (0.0000, 0.0000, 0.2407)
Cr (0.0000, 0.0000, 0.7593)
Se (0.3333, 0.6667, 0.5000)
S (0.6667, 0.3333, 0.0000)

No. 2
# Sm4CrS7
Theoretical powder X-ray diffraction pattern, Cu Kα X-rays. Input: a PBE-relaxed structure.

The 12 most intense peaks (10° ≤ 2θ ≤ 80°), low angle first:
- 21.0°, I = 14
- 24.8°, I = 100
- 26.4°, I = 20
- 30.9°, I = 14
- 34.0°, I = 38
- 34.4°, I = 19
- 36.8°, I = 36
- 38.8°, I = 14
- 44.9°, I = 12
- 45.7°, I = 28
- 45.8°, I = 15
- 51.2°, I = 13

Crystal structure
Cell: 9.7821 9.7821 6.7500 Å, 90.00 90.00 120.00°
Element x y z (fractional)
Sm (0.1507, 0.3758, 0.0000)
Sm (0.2251, 0.8493, 0.0000)
Sm (0.3333, 0.6667, 0.4521)
Sm (0.3758, 0.2251, 0.5000)
Sm (0.6242, 0.7749, 0.0000)
Sm (0.6667, 0.3333, 0.9521)
Sm (0.7749, 0.1507, 0.5000)
Sm (0.8493, 0.6242, 0.5000)
Cr (0.0000, 0.0000, 0.3213)
Cr (0.0000, 0.0000, 0.8213)
S (0.0714, 0.5623, 0.2410)
S (0.0983, 0.2335, 0.5912)
S (0.1352, 0.9017, 0.5912)
S (0.2335, 0.1352, 0.0912)
S (0.3333, 0.6667, 0.8399)
S (0.4377, 0.5091, 0.2410)
S (0.4909, 0.9286, 0.2410)
S (0.5091, 0.0714, 0.7410)
S (0.5623, 0.4909, 0.7410)
S (0.6667, 0.3333, 0.3399)
S (0.7665, 0.8648, 0.5912)
S (0.8648, 0.0983, 0.0912)
S (0.9017, 0.7665, 0.0912)
S (0.9286, 0.4377, 0.7410)

No. 3
# Sm4CrS7
Theoretical powder X-ray diffraction pattern, Cu Kα X-rays. Input: a PBE-relaxed structure.

The 12 most intense peaks (10° ≤ 2θ ≤ 80°), low angle first:
- 10.2°, I = 36
- 17.1°, I = 63
- 22.4°, I = 43
- 24.7°, I = 100
- 27.2°, I = 77
- 27.2°, I = 38
- 30.5°, I = 32
- 32.9°, I = 56
- 33.9°, I = 43
- 34.5°, I = 77
- 39.1°, I = 64
- 47.0°, I = 45

Crystal structure
Cell: 10.0069 6.4839 10.0095 Å, 90.00 119.77 90.00°
Element x y z (fractional)
Sm (0.0001, 0.0000, 0.0001)
Sm (0.9999, 0.5000, 0.9999)
Sm (0.1495, 0.1843, 0.7499)
Sm (0.2496, 0.1847, 0.3990)
Sm (0.3989, 0.6840, 0.1500)
Sm (0.6011, 0.1840, 0.8500)
Sm (0.7504, 0.6847, 0.6010)
Sm (0.8505, 0.6843, 0.2501)
Cr (0.3323, 0.6048, 0.6672)
Cr (0.6677, 0.1048, 0.3328)
S (0.0959, 0.4411, 0.5146)
S (0.1063, 0.7565, 0.8502)
S (0.1500, 0.7565, 0.2554)
S (0.2556, 0.2566, 0.1058)
S (0.3336, 0.9706, 0.6661)
S (0.4180, 0.4410, 0.9030)
S (0.4852, 0.4424, 0.5825)
S (0.5148, 0.9424, 0.4175)
S (0.5820, 0.9410, 0.0970)
S (0.6664, 0.4706, 0.3339)
S (0.7444, 0.7566, 0.8942)
S (0.8500, 0.2565, 0.7446)
S (0.8937, 0.2565, 0.1498)
S (0.9041, 0.9411, 0.4854)

No. 4
# Cr3SnS8
Theoretical powder X-ray diffraction pattern, Cu Kα X-rays. Input: a PBE-relaxed structure.

The 12 most intense peaks (10° ≤ 2θ ≤ 80°), low angle first:
- 14.4°, I = 12
- 15.9°, I = 82
- 18.0°, I = 8
- 28.7°, I = 21
- 30.3°, I = 35
- 36.4°, I = 100
- 37.5°, I = 10
- 41.2°, I = 11
- 50.5°, I = 33
- 54.3°, I = 12
- 54.5°, I = 20
- 67.2°, I = 10

Crystal structure
Cell: 6.7359 6.7359 7.2593 Å, 117.56 117.56 60.19°
Element x y z (fractional)
Cr (0.0000, 0.0000, 0.0000)
Cr (0.0005, 0.4985, 0.0006)
Cr (0.4985, 0.0005, 0.0006)
Sn (0.9998, 0.9998, 0.5004)
S (0.2396, 0.2396, 0.2195)
S (0.2423, 0.7397, 0.2225)
S (0.2603, 0.2603, 0.7786)
S (0.2599, 0.7572, 0.7787)
S (0.7394, 0.7394, 0.2224)
S (0.7397, 0.2423, 0.2225)
S (0.7572, 0.2599, 0.7787)
S (0.7607, 0.7607, 0.7836)

No. 5
# Ta3CrS6
Theoretical powder X-ray diffraction pattern, Cu Kα X-rays. Input: a PBE-relaxed structure.

The 12 most intense peaks (10° ≤ 2θ ≤ 80°), low angle first:
- 14.5°, I = 100
- 29.2°, I = 13
- 31.0°, I = 54
- 34.4°, I = 82
- 43.1°, I = 87
- 55.2°, I = 47
- 57.4°, I = 18
- 63.7°, I = 10
- 66.7°, I = 13
- 69.6°, I = 11
- 72.5°, I = 18
- 73.5°, I = 10

Crystal structure
Cell: 5.7643 5.7643 12.2236 Å, 90.00 90.00 120.00°
Element x y z (fractional)
Ta (0.0000, 0.0000, 0.0000)
Ta (0.0000, 0.0000, 0.5000)
Ta (0.3333, 0.6667, 0.0021)
Ta (0.3333, 0.6667, 0.4979)
Ta (0.6667, 0.3333, 0.5021)
Ta (0.6667, 0.3333, 0.9979)
Cr (0.3333, 0.6667, 0.7500)
Cr (0.6667, 0.3333, 0.2500)
S (0.9999, 0.3322, 0.3705)
S (0.0001, 0.3323, 0.6295)
S (0.9999, 0.6677, 0.1295)
S (0.0001, 0.6678, 0.8705)
S (0.3323, 0.0001, 0.3705)
S (0.3322, 0.9999, 0.6295)
S (0.3323, 0.3322, 0.1295)
S (0.3322, 0.3323, 0.8705)
S (0.6678, 0.0001, 0.1295)
S (0.6677, 0.9999, 0.8705)
S (0.6678, 0.6677, 0.3705)
S (0.6677, 0.6678, 0.6295)

No. 6
# Tb3CrS6
Theoretical powder X-ray diffraction pattern, Cu Kα X-rays. Input: a PBE-relaxed structure.

The 12 most intense peaks (10° ≤ 2θ ≤ 80°), low angle first:
- 23.2°, I = 43
- 25.9°, I = 90
- 26.8°, I = 66
- 27.3°, I = 49
- 27.6°, I = 53
- 31.9°, I = 47
- 35.2°, I = 42
- 35.4°, I = 100
- 36.7°, I = 63
- 41.8°, I = 69
- 46.3°, I = 42
- 47.9°, I = 50

Crystal structure
Cell: 13.3240 16.0302 3.7956 Å, 90.00 90.00 90.00°
Element x y z (fractional)
Tb (0.0503, 0.2191, 0.0000)
Tb (0.1802, 0.6484, 0.0000)
Tb (0.2458, 0.9028, 0.5000)
Tb (0.2542, 0.4028, 0.0000)
Tb (0.3198, 0.1484, 0.5000)
Tb (0.4497, 0.7191, 0.5000)
Tb (0.5503, 0.2809, 0.5000)
Tb (0.6802, 0.8516, 0.5000)
Tb (0.7458, 0.5972, 0.0000)
Tb (0.7542, 0.0972, 0.5000)
Tb (0.8198, 0.3516, 0.0000)
Tb (0.9497, 0.7809, 0.0000)
Cr (0.0000, 0.0000, 0.5000)
Cr (0.0000, 0.5000, 0.5000)
Cr (0.5000, 0.0000, 0.0000)
Cr (0.5000, 0.5000, 0.0000)
S (0.0239, 0.4033, 0.0000)
S (0.0826, 0.9256, 0.0000)
S (0.1033, 0.7544, 0.5000)
S (0.1210, 0.1067, 0.5000)
S (0.1794, 0.5214, 0.5000)
S (0.1871, 0.2894, 0.5000)
S (0.3129, 0.7894, 0.0000)
S (0.3206, 0.0214, 0.0000)
S (0.3790, 0.6067, 0.0000)
S (0.3967, 0.2544, 0.0000)
S (0.4174, 0.4256, 0.5000)
S (0.4761, 0.9033, 0.5000)
S (0.5239, 0.0967, 0.5000)
S (0.5826, 0.5744, 0.5000)
S (0.6033, 0.7456, 0.0000)
S (0.6210, 0.3933, 0.0000)
S (0.6794, 0.9786, 0.0000)
S (0.6871, 0.2106, 0.0000)
S (0.8129, 0.7106, 0.5000)
S (0.8206, 0.4786, 0.5000)
S (0.8790, 0.8933, 0.5000)
S (0.8967, 0.2456, 0.5000)
S (0.9174, 0.0744, 0.0000)
S (0.9761, 0.5967, 0.0000)